TiMnO4: computed X-ray diffraction stick pattern (λ = 1.5418 Å (Cu Kα)), based on the GGA+U geometry in the Materials Project.

Most intense lines, 10 to 90 degrees two-theta, by intensity:
| index | Position (°2θ) | I (rel.) |
| --- | --- | --- |
| 1 0 1 | 25.3 | 100 |
| 2 0 0 | 48.1 | 28 |
| 2 1 1 | 55.1 | 19 |
| 0 0 4 | 37.7 | 19 |
| 1 0 5 | 53.8 | 18 |
| 2 0 4 | 62.7 | 14 |

Cell and atoms:
```
data_TiMnO4
_cell_length_a 3.7824
_cell_length_b 3.7824
_cell_length_c 9.5413
_cell_angle_alpha 90.00
_cell_angle_beta 90.00
_cell_angle_gamma 90.00
_symmetry_space_group_name_H-M 'I -4 m 2'
_symmetry_Int_Tables_number 119
_symmetry_space_group_name_Hall 'I -4 -2'
loop_
_atom_site_label
_atom_site_type_symbol
_atom_site_fract_x
_atom_site_fract_y
_atom_site_fract_z
_atom_site_occupancy
Ti1 Ti 0.0000 0.0000 0.0000 1
Mn1 Mn 0.0000 0.5000 0.7500 1
O1 O 0.0000 0.0000 0.2093 1
O2 O 0.0000 0.5000 0.5490 1
```